Diffraction record for Y10Al3Pd. The powder diffraction line list is computed, not measured: it uses a crystal structure in OQMD, relaxed with GGA-PBE and λ = 1.5418 Å (Cu Kα).

Structure:
Lattice parameters (Å, degrees): 9.6603 9.6603 9.5689 90.00 90.00 120.00
Atoms (fractional coordinates):
Y1 0.0000 0.0000 0.0000
Y2 0.0000 0.0000 0.5000
Y3 0.0859 0.5430 0.2500
Y4 0.2047 0.4095 0.5568
Y5 0.2047 0.4095 0.9432
Y6 0.2047 0.7953 0.5568
Y7 0.2047 0.7953 0.9432
Y8 0.4095 0.2047 0.0568
Y9 0.4095 0.2047 0.4432
Y10 0.4570 0.5430 0.2500
Y11 0.4570 0.9141 0.2500
Y12 0.5430 0.0859 0.7500
Y13 0.5430 0.4570 0.7500
Y14 0.5905 0.7953 0.5568
Y15 0.5905 0.7953 0.9432
Y16 0.7953 0.2047 0.0568
Y17 0.7953 0.2047 0.4432
Y18 0.7953 0.5905 0.0568
Y19 0.7953 0.5905 0.4432
Y20 0.9141 0.4570 0.7500
Al1 0.1137 0.2275 0.2500
Al2 0.1137 0.8863 0.2500
Al3 0.2275 0.1137 0.7500
Al4 0.7725 0.8863 0.2500
Al5 0.8863 0.1137 0.7500
Al6 0.8863 0.7725 0.7500
Pd1 0.3333 0.6667 0.7500
Pd2 0.6667 0.3333 0.2500

Main lines, sorted by position (15° ≤ 2θ ≤ 90°):
d 3.162, 28.22 deg, intensity 23, (2 1 0)
d 3.002, 29.76 deg, intensity 25, (2 1 1)
d 2.677, 33.47 deg, intensity 45, (3 0 1)
d 2.638, 33.98 deg, intensity 100, (2 1 2)
d 2.536, 35.39 deg, intensity 39, (2 0 3)
d 2.415, 37.23 deg, intensity 23, (2 2 0)
d 1.645, 55.91 deg, intensity 20, (3 2 3)
d 1.610, 57.22 deg, intensity 19, (3 3 0)
d 1.579, 58.43 deg, intensity 22, (5 0 2)
d 1.578, 58.49 deg, intensity 22, (3 0 5)